No. 1
This entry pairs a crystal structure of CeHo4Al with its calculated powder X-ray diffraction pattern. Radiation: Cu Kα (weighted mean of Kα1 and Kα2). Structure: a cell relaxed with PBE.

Atomic structure:
```
12
Lattice="2.6326 -6.0248 0.0000 2.6326 6.0248 0.0000 0.0000 0.0000 10.8198" Properties=species:S:1:pos:R:3 pbc="T T T"
Ce 2.6326 3.8116 5.4099
Ce 2.6326 -3.8116 0.0000
Ho 2.6326 5.7241 8.5089
Ho 2.6326 3.8548 0.7538
Ho 2.6326 2.1820 8.4807
Ho 2.6326 0.0493 5.6942
Ho 2.6326 -0.0493 0.2843
Ho 2.6326 -2.1820 3.0709
Ho 2.6326 -3.8548 6.1636
Ho 2.6326 -5.7241 3.0990
Al 2.6326 1.8076 2.9893
Al 2.6326 -1.8076 8.3992
```

Largest 10 diffraction maxima, sorted by position, 10° ≤ 2θ ≤ 80°:
- d = 2.902 Å, intensity 10
- d = 2.889 Å, intensity 21
- d = 2.750 Å, intensity 100
- d = 2.705 Å, intensity 21
- d = 2.633 Å, intensity 26
- d = 2.008 Å, intensity 9
- d = 1.887 Å, intensity 15
- d = 1.597 Å, intensity 10
- d = 1.570 Å, intensity 10
- d = 1.541 Å, intensity 19


No. 2
This entry pairs a crystal structure of AcPm12Pr7 with its calculated powder X-ray diffraction pattern. Radiation: Cu Kα (weighted mean of Kα1 and Kα2). Structure: a cell relaxed with PBE.

Atomic structure:
```
20
Lattice="-5.8417 5.8417 5.8417 5.8417 -5.8417 5.8417 5.8417 5.8417 -5.8417" Properties=species:S:1:pos:R:3 pbc="T T T"
Ac 0.0000 0.0000 0.0000
Pm 5.8417 2.8758 -2.8758
Pm 5.8417 -2.8758 2.8758
Pm 2.8758 5.8417 -2.8758
Pm 2.9659 2.9659 0.0000
Pm 2.9659 0.0000 2.9659
Pm 2.8758 -2.8758 5.8417
Pm 5.8417 2.8758 2.8758
Pm 0.0000 2.9659 2.9659
Pm -2.8758 5.8417 2.8758
Pm -2.8758 2.8758 5.8417
Pm 2.8758 5.8417 2.8758
Pm 2.8758 2.8758 5.8417
Pr 2.9208 2.9208 -2.9208
Pr 2.9208 -2.9208 2.9208
Pr 5.8417 0.0000 0.0000
Pr -2.9208 2.9208 2.9208
Pr 0.0000 5.8417 0.0000
Pr 0.0000 0.0000 5.8417
Pr 2.9208 2.9208 2.9208
```

Largest 10 diffraction maxima, sorted by position, 10° ≤ 2θ ≤ 80°:
- d = 5.842 Å, intensity 16
- d = 4.131 Å, intensity 21
- d = 3.373 Å, intensity 74
- d = 2.921 Å, intensity 100
- d = 2.065 Å, intensity 75
- d = 1.761 Å, intensity 35
- d = 1.686 Å, intensity 26
- d = 1.460 Å, intensity 12
- d = 1.340 Å, intensity 14
- d = 1.306 Å, intensity 33


No. 3
This entry pairs a crystal structure of Hf2Cr3Si with its calculated powder X-ray diffraction pattern. Radiation: Cu Kα (weighted mean of Kα1 and Kα2). Structure: a cell relaxed with PBE.

Atomic structure:
```
12
Lattice="4.9800 0.0000 0.0000 -2.4900 4.3128 0.0000 0.0000 0.0000 8.2698" Properties=species:S:1:pos:R:3 pbc="T T T"
Hf 0.0000 2.8752 0.5299
Hf 0.0000 2.8752 3.6050
Hf 2.4900 1.4376 4.6648
Hf 2.4900 1.4376 7.7399
Cr 0.0000 1.4867 6.2023
Cr -1.2025 3.5695 6.2023
Cr 1.2875 0.7433 2.0674
Cr 1.2025 3.5695 6.2023
Cr 3.6926 0.7433 2.0674
Cr 2.4900 2.8262 2.0674
Si 0.0000 0.0000 0.0000
Si 0.0000 0.0000 4.1349
```

Largest 10 diffraction maxima, sorted by position, 10° ≤ 2θ ≤ 80°:
- d = 4.313 Å, intensity 34
- d = 2.985 Å, intensity 23
- d = 2.490 Å, intensity 58
- d = 2.323 Å, intensity 100
- d = 2.156 Å, intensity 18
- d = 2.133 Å, intensity 73
- d = 2.087 Å, intensity 42
- d = 1.403 Å, intensity 38
- d = 1.358 Å, intensity 17
- d = 1.312 Å, intensity 26


No. 4
This entry pairs a crystal structure of KNdSn4O12 with its calculated powder X-ray diffraction pattern. Radiation: Cu Kα (weighted mean of Kα1 and Kα2). Structure: a cell relaxed with PBE.

Atomic structure:
```
18
Lattice="8.1514 0.0000 0.0000 0.0000 4.0782 4.0954 0.0000 -4.0782 4.0954" Properties=species:S:1:pos:R:3 pbc="T T T"
K 0.0000 0.0000 0.0000
Nd 4.0757 0.0000 3.8656
Sn 2.0013 -1.9944 6.0393
Sn 2.0013 1.9944 6.0393
Sn 6.1501 -1.9944 6.0393
Sn 6.1501 1.9944 6.0393
O 0.0000 -1.8183 6.0888
O 0.0000 1.8183 6.0888
O 2.0205 0.0000 1.9994
O 2.2875 -1.9085 3.9927
O 2.2875 1.9085 3.9927
O 2.5000 0.0000 5.8786
O 4.0757 -1.7081 2.0847
O 4.0757 1.7081 2.0847
O 5.6514 0.0000 5.8786
O 5.8640 -1.9085 3.9927
O 5.8640 1.9085 3.9927
O 6.1309 0.0000 1.9994
```

Largest 10 diffraction maxima, sorted by position, 10° ≤ 2θ ≤ 80°:
- d = 4.715 Å, intensity 23
- d = 4.087 Å, intensity 30
- d = 4.076 Å, intensity 14
- d = 2.887 Å, intensity 100
- d = 2.038 Å, intensity 23
- d = 1.824 Å, intensity 13
- d = 1.669 Å, intensity 14
- d = 1.666 Å, intensity 30
- d = 1.445 Å, intensity 14
- d = 1.290 Å, intensity 12


No. 5
This entry pairs a crystal structure of Pm6InCo2Cl3 with its calculated powder X-ray diffraction pattern. Radiation: Cu Kα (weighted mean of Kα1 and Kα2). Structure: a cell relaxed with PBE.

Atomic structure:
```
12
Lattice="10.2803 -1.9477 0.0000 10.2803 1.9477 0.0000 -2.3331 0.0000 8.4606" Properties=species:S:1:pos:R:3 pbc="T T T"
Pm 0.1847 0.0000 2.4689
Pm 5.4139 0.0000 3.5287
Pm 4.8668 0.0000 7.3626
Pm 13.3606 0.0000 1.0980
Pm 12.8135 0.0000 4.9319
Pm 18.0427 0.0000 5.9917
In 10.2803 0.0000 0.0000
Co 2.7592 0.0000 2.9804
Co 15.4682 0.0000 5.4802
Cl 1.7691 0.0000 7.2561
Cl 9.1137 0.0000 4.2303
Cl 16.4583 0.0000 1.2045
```

Largest 10 diffraction maxima, sorted by position, 10° ≤ 2θ ≤ 80°:
- d = 7.493 Å, intensity 50
- d = 3.356 Å, intensity 18
- d = 3.303 Å, intensity 34
- d = 2.911 Å, intensity 100
- d = 2.569 Å, intensity 17
- d = 2.224 Å, intensity 22
- d = 2.191 Å, intensity 16
- d = 2.146 Å, intensity 15
- d = 1.948 Å, intensity 17
- d = 1.790 Å, intensity 17


No. 6
This entry pairs a crystal structure of Sm3Y2ErAs6 with its calculated powder X-ray diffraction pattern. Radiation: Cu Kα (weighted mean of Kα1 and Kα2). Structure: a cell relaxed with PBE.

Atomic structure:
```
12
Lattice="9.0690 -2.0824 0.0000 9.0690 2.0824 0.0000 -1.9010 0.0000 8.1015" Properties=species:S:1:pos:R:3 pbc="T T T"
Sm 0.0000 0.0000 0.0000
Sm 4.7765 0.0000 5.4007
Sm 11.4606 0.0000 2.7008
Y 5.7313 0.0000 1.3534
Y 10.5057 0.0000 6.7481
Er -0.9505 0.0000 4.0507
As 1.8746 0.0000 4.7447
As 2.8912 0.0000 0.6503
As 8.5647 0.0000 2.0665
As 7.6723 0.0000 6.0350
As 13.3458 0.0000 7.4511
As 14.3624 0.0000 3.3568
```

Largest 10 diffraction maxima, sorted by position, 10° ≤ 2θ ≤ 80°:
- d = 3.399 Å, intensity 13
- d = 2.943 Å, intensity 100
- d = 2.081 Å, intensity 74
- d = 1.775 Å, intensity 6
- d = 1.699 Å, intensity 26
- d = 1.472 Å, intensity 12
- d = 1.350 Å, intensity 3
- d = 1.316 Å, intensity 33
- d = 1.202 Å, intensity 19
- d = 1.201 Å, intensity 6


No. 7
This entry pairs a crystal structure of MgCd2Pb with its calculated powder X-ray diffraction pattern. Radiation: Cu Kα (weighted mean of Kα1 and Kα2). Structure: a cell relaxed with PBE.

Atomic structure:
```
8
Lattice="6.1488 0.0000 0.0000 0.0000 10.1166 0.0000 -1.2206 0.0000 3.2967" Properties=species:S:1:pos:R:3 pbc="T T T"
Mg 0.0000 0.0000 0.0000
Mg 3.0744 5.0583 0.0000
Cd 0.9269 2.5292 1.6484
Cd 0.9269 7.5875 1.6484
Cd 4.0013 2.5292 1.6484
Cd 4.0013 7.5875 1.6484
Pb 0.0000 5.0583 0.0000
Pb 3.0744 0.0000 0.0000
```

Largest 10 diffraction maxima, sorted by position, 10° ≤ 2θ ≤ 80°:
- d = 5.010 Å, intensity 62
- d = 3.239 Å, intensity 23
- d = 2.911 Å, intensity 17
- d = 2.762 Å, intensity 100
- d = 2.680 Å, intensity 46
- d = 2.529 Å, intensity 39
- d = 2.505 Å, intensity 76
- d = 1.872 Å, intensity 16
- d = 1.839 Å, intensity 30
- d = 1.619 Å, intensity 20


No. 8
This entry pairs a crystal structure of Sm3Zn3Cd with its calculated powder X-ray diffraction pattern. Radiation: Cu Kα (weighted mean of Kα1 and Kα2). Structure: a cell relaxed with PBE.

Atomic structure:
```
14
Lattice="3.6008 0.0000 0.0000 0.0000 4.6273 0.0000 0.0000 0.0000 20.2590" Properties=species:S:1:pos:R:3 pbc="T T T"
Sm 0.0000 0.0000 0.0000
Sm 0.0000 0.0000 7.9117
Sm 0.0000 2.3136 3.7475
Sm 1.8004 0.0000 13.8770
Sm 1.8004 2.3136 10.1295
Sm 1.8004 2.3136 18.0412
Zn 0.0000 0.0000 11.2105
Zn 0.0000 0.0000 16.9285
Zn 0.0000 2.3136 12.6297
Zn 1.8004 0.0000 2.5002
Zn 1.8004 2.3136 1.0810
Zn 1.8004 2.3136 6.7990
Cd 0.0000 2.3136 15.3668
Cd 1.8004 0.0000 5.2372
```

Largest 10 diffraction maxima, sorted by position, 10° ≤ 2θ ≤ 80°:
- d = 3.817 Å, intensity 21
- d = 2.736 Å, intensity 100
- d = 2.692 Å, intensity 56
- d = 2.454 Å, intensity 58
- d = 2.314 Å, intensity 33
- d = 1.800 Å, intensity 15
- d = 1.755 Å, intensity 31
- d = 1.452 Å, intensity 30
- d = 1.421 Å, intensity 14
- d = 1.404 Å, intensity 13


Number 5 is which compound? Pm6InCo2Cl3